For Tb4ScPa3P8, a structure optimized by DFT (PBE) gives the computed powder XRD pattern in this record (Cu Kα, 1.54184 Å).

```
16
Lattice="3.966 2.290 6.498 -3.966 2.290 6.498 0.000 -4.579 6.498" Properties=species:S:1:pos:R:3 pbc="T T T"
Tb 0.000 0.000 0.000
Tb -1.983 -1.145 6.498
Tb -1.983 1.145 12.996
Tb 0.000 2.290 6.498
Sc 0.000 0.000 9.747
Pa -3.966 0.000 9.747
Pa -1.983 1.145 3.249
Pa 1.983 1.145 3.249
P 0.000 0.000 4.848
P -1.960 -1.132 11.305
P 0.000 -2.263 8.188
P -1.960 1.132 8.188
P 1.960 -1.132 11.305
P 0.000 2.263 11.305
P 1.960 1.132 8.188
P 0.000 0.000 14.646
```

The 6 most intense peaks (5° ≤ 2θ ≤ 70°), in order of rising 2θ:
2θ = 27.51°, I 91; 2θ = 31.88°, I 100; 2θ = 45.65°, I 37; 2θ = 45.76°, I 37; 2θ = 54.16°, I 34; 2θ = 56.85°, I 19



For Pa2PSe3, a structure optimized by DFT (PBE) gives the computed powder XRD pattern in this record (Cu Kα, 1.54184 Å).

```
12
Lattice="10.024 -1.934 0.000 10.024 1.934 0.000 -2.856 0.000 7.382" Properties=species:S:1:pos:R:3 pbc="T T T"
Pa 1.350 0.000 1.144
Pa 5.068 0.000 2.312
Pa 12.124 0.000 5.069
Pa 15.842 0.000 6.237
P 4.146 0.000 5.057
P 13.046 0.000 2.324
Se 0.419 0.000 3.799
Se 0.924 0.000 6.974
Se 9.051 0.000 1.186
Se 8.141 0.000 6.195
Se 16.268 0.000 0.407
Se 16.773 0.000 3.583
```

The 6 most intense peaks (5° ≤ 2θ ≤ 70°), in order of rising 2θ:
2θ = 18.44°, I 47; 2θ = 25.64°, I 65; 2θ = 33.33°, I 100; 2θ = 35.86°, I 46; 2θ = 40.06°, I 60; 2θ = 41.13°, I 41



What is the formula in the first record? Tb4ScPa3P8